# Cu3Ag7
Simulated XRD peak list, λ = 1.5418 Å (Cu Kα). Input: a GGA-PBE-relaxed structure.

Atomic structure:
```
Cu3Ag7
1.0
4.478 -2.009 0.000
4.478 2.009 0.000
-0.033 0.000 8.978
Cu Ag
3 7
direct
0.000 0.000 0.000 Cu
0.203 0.203 0.595 Cu
0.797 0.797 0.405 Cu
0.102 0.102 0.307 Ag
0.300 0.300 0.899 Ag
0.400 0.400 0.201 Ag
0.500 0.500 0.500 Ag
0.600 0.600 0.799 Ag
0.700 0.700 0.101 Ag
0.898 0.898 0.693 Ag
```

Principal peaks in the range 15 to 90 degrees two-theta, low angle first:
2θ 22.20, rel. 22; 2θ 38.87, rel. 1000; 2θ 45.13, rel. 320; 2θ 45.33, rel. 160; 2θ 65.73, rel. 97; 2θ 65.88, rel. 194; 2θ 79.07, rel. 226; 2θ 79.35, rel. 56; 2θ 79.37, rel. 55; 2θ 83.45, rel. 98